The following is a simulated powder XRD pattern of AcMgTeO6. It was derived from DFT lattice parameters and positions (GGA-PBE), using Cu Kα.
Lines closer than 0.1° are merged.

Most intense lines, 2θ from 15° to 90°, in order of rising 2θ:
| d (Å) | I_rel | h k l |
| --- | --- | --- |
| 4.656 | 259 | 1 0 0 |
| 3.501 | 1000 | 1 0 1 |
| 2.688 | 270 | 1 1 0 |
| 2.132 | 242 | 2 0 1 |
| 1.889 | 309 | 2 -1 2 |
| 1.671 | 240 | 3 -1 1 |

Structural model:
a = 5.377 Å, b = 5.377 Å, c = 5.311 Å
α = 90.00°, β = 90.00°, γ = 120.00°
Fractional coordinates of all 9 atoms:
Ac1 0.000 0.000 0.000
Mg1 0.333 0.667 0.500
Te1 0.667 0.333 0.500
O1 0.383 0.022 0.708
O2 0.383 0.360 0.292
O3 0.640 0.022 0.292
O4 0.640 0.617 0.708
O5 0.978 0.360 0.708
O6 0.978 0.617 0.292